Record 1
For K3RbAs2Pd2, a DFT-relaxed cell (GGA-PBE, OQMD) gives the computed PXRD pattern in this record (Cu Kα, 1.54184 Å).
Lines closer than 0.1° are merged.

Peak list (6 most intense, 10 to 90 degrees two-theta, sorted by position)
2theta  intensity
14.27  81
17.46  100
32.46  70
32.63  75
33.54  92
38.16  78

Cell and atoms:
```
8
Lattice="6.3684 0.0000 0.0000 0.0000 5.9281 0.0000 -1.6729 0.0000 6.2087" Properties=species:S:1:pos:R:3 pbc="T T T"
K 0.0000 0.0000 0.0000
K 1.3948 2.9641 1.8792
K 3.6025 0.0000 2.1078
Rb 4.9703 2.9641 3.9947
As 0.5418 0.0000 3.5091
As 4.5016 2.9641 0.4596
Pd 1.5816 1.4613 5.1898
Pd 1.5816 4.4668 5.1898
```

=====

Record 2
For KRbAsPd, a DFT-relaxed cell (GGA-PBE, OQMD) gives the computed PXRD pattern in this record (Cu Kα, 1.54184 Å).
Lines closer than 0.1° are merged.

Peak list (6 most intense, 10 to 90 degrees two-theta, sorted by position)
2theta  intensity
14.19  63
17.23  57
28.39  74
32.19  100
33.31  61
37.91  49

Cell and atoms:
```
8
Lattice="5.9613 0.0000 0.0000 0.0000 3.9226 5.1467 0.0000 -3.9226 5.1467" Properties=species:S:1:pos:R:3 pbc="T T T"
K 1.4903 -2.7465 5.1467
K 4.4710 2.7465 5.1467
Rb 1.4903 1.1578 6.7590
Rb 4.4710 -1.1578 6.7590
As 1.4903 1.9384 3.4094
As 4.4710 -1.9384 3.4094
Pd 0.0000 0.0000 3.2315
Pd 2.9806 0.0000 3.2315
```

=====

Record 3
For KRbPr2As2, a DFT-relaxed cell (GGA-PBE, OQMD) gives the computed PXRD pattern in this record (Cu Kα, 1.54184 Å).
Lines closer than 0.1° are merged.

Peak list (6 most intense, 10 to 90 degrees two-theta, sorted by position)
2theta  intensity
10.96  100
26.30  89
27.82  44
32.67  68
33.96  71
41.35  35

Cell and atoms:
```
6
Lattice="5.2797 0.0000 0.0000 0.0000 5.2797 0.0000 0.0000 0.0000 8.0755" Properties=species:S:1:pos:R:3 pbc="T T T"
K 0.0000 0.0000 0.0000
Rb 2.6399 2.6399 6.2343
Pr 0.0000 2.6399 3.0878
Pr 2.6399 0.0000 3.0878
As 0.0000 0.0000 4.5982
As 2.6399 2.6399 1.6350
```

=====

Record 4
For KPrTe3As, a DFT-relaxed cell (GGA-PBE, OQMD) gives the computed PXRD pattern in this record (Cu Kα, 1.54184 Å).
Lines closer than 0.1° are merged.

Peak list (6 most intense, 10 to 90 degrees two-theta, sorted by position)
2theta  intensity
10.32  63
26.01  54
26.50  32
29.65  100
36.45  58
38.75  29

Cell and atoms:
```
12
Lattice="2.3239 -8.5731 0.0000 2.3239 8.5731 0.0000 0.0000 0.0000 10.9685" Properties=species:S:1:pos:R:3 pbc="T T T"
K 2.3239 4.5189 8.2263
K 2.3239 -4.5189 2.7421
Pr 0.0000 0.0000 0.0000
Pr 0.0000 0.0000 5.4842
Te 2.3239 6.7779 2.7421
Te 2.3239 2.1929 0.5646
Te 2.3239 2.1929 4.9197
Te 2.3239 -2.1929 6.0488
Te 2.3239 -2.1929 10.4039
Te 2.3239 -6.7779 8.2263
As 2.3239 0.5939 2.7421
As 2.3239 -0.5939 8.2263
```

=====

Record 5
For KRb2As2Pt3, a DFT-relaxed cell (GGA-PBE, OQMD) gives the computed PXRD pattern in this record (Cu Kα, 1.54184 Å).
Lines closer than 0.1° are merged.

Peak list (6 most intense, 10 to 90 degrees two-theta, sorted by position)
2theta  intensity
12.24  100
27.08  27
35.74  41
36.48  24
39.31  31
39.68  30

Cell and atoms:
```
8
Lattice="2.9203 1.6860 7.2295 -2.9203 1.6860 7.2295 0.0000 -3.3721 7.2295" Properties=species:S:1:pos:R:3 pbc="T T T"
K 0.0000 0.0000 0.0000
Rb 0.0000 0.0000 8.9844
Rb 0.0000 0.0000 12.7042
As 0.0000 0.0000 5.4331
As 0.0000 0.0000 16.2554
Pt -2.9203 0.0000 10.8443
Pt -1.4601 0.8430 3.6148
Pt 1.4601 0.8430 3.6148
```

=====

Record 6
For K2Rb2ZnAs2, a DFT-relaxed cell (GGA-PBE, OQMD) gives the computed PXRD pattern in this record (Cu Kα, 1.54184 Å).
Lines closer than 0.1° are merged.

Peak list (6 most intense, 10 to 90 degrees two-theta, sorted by position)
2theta  intensity
21.73  20
23.90  21
28.95  18
30.09  100
37.65  26
53.44  19

Cell and atoms:
```
7
Lattice="2.9696 1.7145 8.9928 -2.9696 1.7145 8.9928 0.0000 -3.4290 8.9928" Properties=species:S:1:pos:R:3 pbc="T T T"
K 0.0000 0.0000 5.6276
K 0.0000 0.0000 21.3507
Rb 0.0000 0.0000 10.3660
Rb 0.0000 0.0000 16.6124
Zn 0.0000 0.0000 0.0000
As 0.0000 0.0000 2.3304
As 0.0000 0.0000 24.6479
```

=====

Record 7
For K2Rb2ZnAs2, a DFT-relaxed cell (GGA-PBE, OQMD) gives the computed PXRD pattern in this record (Cu Kα, 1.54184 Å).
Lines closer than 0.1° are merged.

Peak list (6 most intense, 10 to 90 degrees two-theta, sorted by position)
2theta  intensity
17.76  57
23.71  26
28.49  35
30.51  100
36.78  30
54.22  19

Cell and atoms:
```
7
Lattice="2.9303 1.6918 9.2924 -2.9303 1.6918 9.2924 0.0000 -3.3837 9.2924" Properties=species:S:1:pos:R:3 pbc="T T T"
K 0.0000 0.0000 3.2282
K 0.0000 0.0000 24.6490
Rb 0.0000 0.0000 8.1135
Rb 0.0000 0.0000 19.7637
Zn 0.0000 0.0000 13.9386
As 0.0000 0.0000 11.6117
As 0.0000 0.0000 16.2655
```

=====

Record 8
For KSmAsSe3, a DFT-relaxed cell (GGA-PBE, OQMD) gives the computed PXRD pattern in this record (Cu Kα, 1.54184 Å).
Lines closer than 0.1° are merged.

Peak list (6 most intense, 10 to 90 degrees two-theta, sorted by position)
2theta  intensity
11.05  100
27.65  49
31.59  92
35.03  25
38.95  57
40.96  26

Cell and atoms:
```
12
Lattice="2.2036 -8.0099 0.0000 2.2036 8.0099 0.0000 0.0000 0.0000 10.2465" Properties=species:S:1:pos:R:3 pbc="T T T"
K 2.2036 4.1053 7.6849
K 2.2036 -4.1053 2.5616
Sm 0.0000 0.0000 0.0000
Sm 0.0000 0.0000 5.1232
As 2.2036 0.5826 2.5616
As 2.2036 -0.5826 7.6849
Se 2.2036 6.3882 2.5616
Se 2.2036 1.9915 0.5191
Se 2.2036 1.9915 4.6041
Se 2.2036 -1.9915 5.6423
Se 2.2036 -1.9915 9.7274
Se 2.2036 -6.3882 7.6849
```

=====

Record 9
For K3Ta2AsSe11, a DFT-relaxed cell (GGA-PBE, OQMD) gives the computed PXRD pattern in this record (Cu Kα, 1.54184 Å).
Lines closer than 0.1° are merged.

Peak list (6 most intense, 10 to 90 degrees two-theta, sorted by position)
2theta  intensity
11.84  19
13.24  100
27.28  11
29.99  26
33.23  10
38.41  10

Cell and atoms:
```
34
Lattice="7.6074 -6.6953 0.0000 7.6074 6.6953 0.0000 -1.6323 0.0000 9.9132" Properties=species:S:1:pos:R:3 pbc="T T T"
K 6.7913 5.7833 4.9566
K 4.5874 1.1235 7.3827
K 5.4035 -1.1235 2.4261
K 10.9846 1.0304 3.4078
K 10.1685 -1.0304 8.3644
K 7.6074 -5.7833 0.0000
Ta 4.1840 3.6548 2.2902
Ta 7.8735 3.9337 9.0711
Ta 3.3679 -3.6548 7.2468
Ta 8.6896 -3.9337 4.1145
As 7.8598 2.0732 1.8285
As 7.0437 -2.0732 6.7851
Se 2.5360 1.3154 2.4910
Se 5.7074 4.4053 8.2225
Se 2.2587 0.5242 4.7329
Se 5.5202 2.6067 4.2479
Se 5.6770 2.0630 0.7695
Se 1.4426 -0.5242 9.6895
Se 8.9029 4.2387 1.7071
Se 1.7198 -1.3154 7.4476
Se 9.3715 3.3693 5.1691
Se 8.4533 2.1572 7.0384
Se 7.5983 1.3371 9.8071
Se 4.8609 -2.0630 5.7261
Se 10.4046 2.7004 9.8046
Se 4.7040 -2.6067 9.2045
Se 8.4144 -1.3371 4.8505
Se 12.1223 1.0329 6.6746
Se 6.5235 -4.4053 3.2659
Se 9.2694 -2.1572 2.0818
Se 8.0868 -4.2387 6.6637
Se 10.1876 -3.3693 0.2125
Se 12.9385 -1.0329 1.7180
Se 11.2208 -2.7004 4.8480
```

=====

Record 10
For K2Zn5As4, a DFT-relaxed cell (GGA-PBE, OQMD) gives the computed PXRD pattern in this record (Cu Kα, 1.54184 Å).
Lines closer than 0.1° are merged.

Peak list (6 most intense, 10 to 90 degrees two-theta, sorted by position)
2theta  intensity
15.18  100
30.35  62
33.24  50
34.34  69
45.44  72
51.16  28

Cell and atoms:
```
22
Lattice="5.8267 -3.5595 0.0000 5.8267 3.5595 0.0000 0.0000 0.0000 11.6978" Properties=species:S:1:pos:R:3 pbc="T T T"
K 2.4979 0.0000 0.0000
K 2.4979 0.0000 5.8489
K 9.1555 0.0000 0.0000
K 9.1555 0.0000 5.8489
Zn 5.8267 3.5107 8.7734
Zn 4.1613 0.8055 8.7734
Zn 5.8267 1.0837 1.2723
Zn 5.8267 1.0837 4.5767
Zn 4.1613 -0.8055 2.9245
Zn 7.4920 0.8055 8.7734
Zn 5.8267 -1.0837 7.1212
Zn 5.8267 -1.0837 10.4256
Zn 7.4920 -0.8055 2.9245
Zn 5.8267 -3.5107 2.9245
As 3.9834 1.8354 2.9245
As 5.8267 1.5976 7.0008
As 5.8267 1.5976 10.5459
As 7.6699 1.8354 2.9245
As 3.9834 -1.8354 8.7734
As 5.8267 -1.5976 1.1519
As 5.8267 -1.5976 4.6970
As 7.6699 -1.8354 8.7734
```

=====

Record 11
For K3Zr2As3, a DFT-relaxed cell (GGA-PBE, OQMD) gives the computed PXRD pattern in this record (Cu Kα, 1.54184 Å).
Lines closer than 0.1° are merged.

Peak list (6 most intense, 10 to 90 degrees two-theta, sorted by position)
2theta  intensity
12.40  100
28.03  43
28.38  46
35.75  19
37.59  29
42.70  29

Cell and atoms:
```
16
Lattice="7.6079 0.0000 0.0000 0.0000 6.6868 0.0000 -3.7713 0.0000 10.2755" Properties=species:S:1:pos:R:3 pbc="T T T"
K -0.4226 1.6717 1.4324
K -1.1745 5.0151 4.3488
K -0.6948 1.6717 9.5498
K 4.5314 5.0151 0.7257
K 5.0111 1.6717 5.9266
K 4.2592 5.0151 8.8431
Zr 2.3083 3.3516 3.5718
Zr 2.3083 6.6787 3.5718
Zr 1.5283 0.0082 6.7036
Zr 1.5283 3.3353 6.7036
As 1.1855 5.0151 1.8193
As 0.5794 1.6717 4.7850
As -0.1974 5.0151 7.8103
As 4.0340 1.6717 2.4652
As 3.2572 5.0151 5.4904
As 2.6511 1.6717 8.4562
```

=====

Record 12
For LaNd2Nb2As6, a DFT-relaxed cell (GGA-PBE, OQMD) gives the computed PXRD pattern in this record (Cu Kα, 1.54184 Å).
Lines closer than 0.1° are merged.

Peak list (6 most intense, 10 to 90 degrees two-theta, sorted by position)
2theta  intensity
25.66  47
26.04  39
31.96  45
34.28  78
36.60  100
52.72  35

Cell and atoms:
```
11
Lattice="-2.4553 2.4553 11.9305 2.4553 -2.4553 11.9305 2.4553 2.4553 -11.9305" Properties=species:S:1:pos:R:3 pbc="T T T"
La 0.0000 0.0000 0.0000
Nd 0.0000 0.0000 3.9435
Nd 0.0000 0.0000 19.9175
Nb 0.0000 0.0000 9.3082
Nb 0.0000 0.0000 14.5527
As 2.4553 0.0000 1.9632
As 0.0000 0.0000 6.9083
As 2.4553 0.0000 9.9673
As 0.0000 2.4553 1.9632
As 0.0000 0.0000 16.9526
As 0.0000 2.4553 9.9673
```

=====

What did the fifth record say?
For KRb2As2Pt3, a DFT-relaxed cell (GGA-PBE, OQMD) gives the computed PXRD pattern in this record (Cu Kα, 1.54184 Å).
Lines closer than 0.1° are merged.

Peak list (6 most intense, 10 to 90 degrees two-theta, sorted by position)
2theta  intensity
12.24  100
27.08  27
35.74  41
36.48  24
39.31  31
39.68  30

Cell and atoms:
```
8
Lattice="2.9203 1.6860 7.2295 -2.9203 1.6860 7.2295 0.0000 -3.3721 7.2295" Properties=species:S:1:pos:R:3 pbc="T T T"
K 0.0000 0.0000 0.0000
Rb 0.0000 0.0000 8.9844
Rb 0.0000 0.0000 12.7042
As 0.0000 0.0000 5.4331
As 0.0000 0.0000 16.2554
Pt -2.9203 0.0000 10.8443
Pt -1.4601 0.8430 3.6148
Pt 1.4601 0.8430 3.6148
```